Starting from the PBE geometry in Alexandria, the PXRD pattern of Pr4CrS7 was computed for Cu Kα.
Intensities are scaled so that the largest is 100.

Largest 10 diffraction maxima, sorted by position, 2θ from 10° to 80°:
d (Å)	2θ/deg	I/Imax
4.311	20.6	13
3.651	24.4	100
3.434	25.9	18
2.944	30.4	13
2.686	33.4	38
2.651	33.8	19
2.489	36.1	39
2.057	44.0	16
2.022	44.8	29
2.015	45.0	17

```
24
Lattice="9.9555 0.0000 0.0000 -4.9777 8.6217 0.0000 0.0000 0.0000 6.8678" Properties=species:S:1:pos:R:3 pbc="T T T"
Pr -0.2964 3.2352 0.0000
Pr -2.0277 7.2608 0.0000
Pr 0.0000 5.7478 3.1109
Pr 2.6536 1.8743 3.4339
Pr 2.3241 6.7474 0.0000
Pr 4.9778 2.8739 6.5448
Pr 7.0055 1.3609 3.4339
Pr 5.2741 5.3865 3.4339
Cr 0.0000 0.0000 2.2732
Cr 0.0000 0.0000 5.7071
S -2.0797 4.8174 1.6496
S -0.1397 1.9735 4.1158
S -3.1988 7.7559 4.1158
S 1.6393 1.1077 0.6819
S 0.0000 5.7478 5.7768
S 1.8456 4.4120 1.6496
S 0.2341 8.0141 1.6496
S 4.7437 0.6077 5.0835
S 3.1322 4.2097 5.0835
S 4.9778 2.8739 2.3429
S 3.3385 7.5140 4.1158
S 8.1765 0.8658 0.6819
S 5.1174 6.6482 0.6819
S 7.0574 3.8043 5.0835
```

=====

Starting from the PBE geometry in Alexandria, the PXRD pattern of Hf2Zr4In was computed for Cu Kα.
Intensities are scaled so that the largest is 100.

Largest 10 diffraction maxima, sorted by position, 2θ from 10° to 80°:
d (Å)	2θ/deg	I/Imax
4.955	17.9	19
2.906	30.8	53
2.838	31.5	28
2.582	34.7	38
2.540	35.3	24
2.477	36.3	51
2.455	36.6	44
2.440	36.8	100
2.266	39.8	40
1.550	59.7	24

```
14
Lattice="5.6752 0.0000 0.0000 0.0000 5.6080 0.0000 0.0000 0.0000 10.1595" Properties=species:S:1:pos:R:3 pbc="T T T"
Hf 0.0000 1.3750 0.2700
Hf 0.0000 4.2330 9.8896
Hf 2.8376 1.3750 4.8098
Hf 2.8376 4.2330 5.3498
Zr 0.0000 0.2166 3.3391
Zr 0.0000 5.3914 6.8205
Zr 1.4188 2.5083 7.6197
Zr 1.4188 3.0997 2.5399
Zr 2.8376 0.2166 1.7407
Zr 2.8376 5.3914 8.4189
Zr 4.2564 2.5083 7.6197
Zr 4.2564 3.0997 2.5399
In 0.0000 2.8040 5.0798
In 2.8376 2.8040 0.0000
```

=====

Starting from the PBE geometry in Alexandria, the PXRD pattern of PmSm2Si2 was computed for Cu Kα.
Intensities are scaled so that the largest is 100.

Largest 10 diffraction maxima, sorted by position, 2θ from 10° to 80°:
d (Å)	2θ/deg	I/Imax
3.961	22.4	21
3.218	27.7	33
2.824	31.7	100
2.705	33.1	34
2.498	36.0	32
2.209	40.9	18
1.772	51.6	18
1.711	53.6	17
1.474	63.1	19
1.367	68.6	22

```
5
Lattice="-2.2089 3.2184 4.4708 2.2089 -3.2184 4.4708 2.2089 3.2184 -4.4708" Properties=species:S:1:pos:R:3 pbc="T T T"
Pm 0.0000 0.0000 0.0000
Sm 2.2089 0.0000 2.6651
Sm 0.0000 3.2184 1.8058
Si 2.2089 1.9882 0.0000
Si 0.0000 1.2302 4.4708
```

=====

Starting from the PBE geometry in Alexandria, the PXRD pattern of BaNaCd2Au4 was computed for Cu Kα.
Intensities are scaled so that the largest is 100.

Largest 10 diffraction maxima, sorted by position, 2θ from 10° to 80°:
d (Å)	2θ/deg	I/Imax
4.982	17.8	47
3.656	24.3	19
2.789	32.1	59
2.434	36.9	33
2.420	37.2	100
2.177	41.5	34
1.828	49.9	17
1.622	56.8	16
1.459	63.8	16
1.397	67.0	18

```
8
Lattice="2.4199 1.3971 9.9644 -2.4199 1.3971 9.9644 0.0000 -2.7943 9.9644" Properties=species:S:1:pos:R:3 pbc="T T T"
Ba 0.0000 0.0000 0.0000
Na 0.0000 0.0000 14.9466
Cd 0.0000 0.0000 7.0910
Cd 0.0000 0.0000 22.8023
Au 0.0000 0.0000 3.3617
Au 0.0000 0.0000 12.0218
Au 0.0000 0.0000 17.8715
Au 0.0000 0.0000 26.5316
```

=====

Starting from the PBE geometry in Alexandria, the PXRD pattern of Na2SnH14S3O7 was computed for Cu Kα.
Intensities are scaled so that the largest is 100.

Largest 10 diffraction maxima, sorted by position, 2θ from 10° to 80°:
d (Å)	2θ/deg	I/Imax
6.867	12.9	69
6.657	13.3	50
5.969	14.8	44
5.536	16.0	100
4.899	18.1	39
3.348	26.6	34
3.298	27.0	39
3.026	29.5	38
2.982	30.0	36
2.680	33.4	31

```
54
Lattice="7.1576 0.0000 0.0000 -2.5755 9.2243 0.0000 -0.7596 -0.6941 10.3413" Properties=species:S:1:pos:R:3 pbc="T T T"
Na -0.7028 4.2472 1.6498
Na 0.8280 3.1023 4.6019
Na 2.9944 5.4279 5.7394
Na 4.5252 4.2830 8.6915
Sn 2.1877 0.2599 9.1025
Sn 1.6347 8.2703 1.2388
H -0.4747 1.4148 2.6324
H -1.7276 6.8514 0.5741
H -2.2025 7.5287 5.2112
H -1.4127 5.5752 4.0441
H -0.1464 0.9616 6.3380
H -0.2865 2.5269 9.5925
H 0.9189 1.5995 1.9797
H -0.5979 6.4047 8.0534
H 0.0960 5.7807 4.2472
H 0.0123 5.4784 9.1924
H 0.5934 4.6327 7.2060
H 2.3559 0.8372 5.7583
H 0.5558 7.4126 5.8322
H 1.5769 3.4726 7.4527
H 2.2455 5.0576 2.8886
H 3.2666 1.1175 4.5091
H 1.4665 7.6930 4.5831
H 3.2290 3.8975 3.1353
H 3.8101 3.0517 1.1489
H 3.7264 2.7495 6.0942
H 4.4203 2.1255 2.2880
H 2.9036 6.9307 8.3617
H 4.1089 6.0033 0.7488
H 3.9689 7.5685 4.0033
H 5.2351 2.9550 6.2972
H 6.0249 1.0015 5.1301
H 5.5500 1.6788 9.7673
H 4.2971 7.1154 7.7089
S -1.1368 8.4930 7.0586
S -0.6703 9.0209 0.7091
S 1.9794 2.5667 9.4524
S 1.8430 5.9635 0.8890
S 4.4927 -0.4907 9.6323
S 4.9593 0.0372 3.2827
O -0.6627 1.5816 5.7677
O -1.2652 2.6014 9.7526
O 0.2401 2.0873 2.5002
O -0.5538 5.1160 3.8972
O -0.4889 5.4629 8.3320
O 1.2743 4.0835 6.7314
O 1.1242 6.9603 5.1611
O 2.6982 1.5698 5.1803
O 2.5482 4.4467 3.6100
O 4.3113 3.0673 2.0094
O 4.3762 3.4142 6.4442
O 3.5824 6.4429 7.8412
O 5.0876 5.9288 0.5888
O 4.4851 6.9485 4.5736
```

=====

Starting from the PBE geometry in Alexandria, the PXRD pattern of SiO2 was computed for Cu Kα.
Intensities are scaled so that the largest is 100.

Largest 10 diffraction maxima, sorted by position, 2θ from 10° to 80°:
d (Å)	2θ/deg	I/Imax
8.156	10.8	41
7.554	11.7	16
5.542	16.0	61
4.431	20.0	100
3.427	26.0	46
2.967	30.1	25
2.639	34.0	8
2.453	36.6	11
1.744	52.5	8
1.302	72.6	7

```
18
Lattice="5.2771 0.0000 0.0000 0.0000 7.5538 0.0000 0.0000 0.0000 8.1564" Properties=species:S:1:pos:R:3 pbc="T T T"
Si 1.3193 0.0000 0.9292
Si 1.3193 2.2017 3.2083
Si 1.3193 5.3522 3.2083
Si 3.9579 0.0000 7.2272
Si 3.9579 2.2017 4.9482
Si 3.9579 5.3522 4.9482
O 0.0000 0.0000 0.0000
O 0.0000 1.8278 4.0782
O 0.0000 5.7261 4.0782
O 1.3193 1.3429 1.8398
O 1.3193 3.7769 2.8097
O 1.3193 6.2110 1.8398
O 2.6386 0.0000 0.0000
O 2.6386 1.8278 4.0782
O 2.6386 5.7261 4.0782
O 3.9579 1.3429 6.3167
O 3.9579 3.7769 5.3467
O 3.9579 6.2110 6.3167
```

=====

Starting from the PBE geometry in Alexandria, the PXRD pattern of LiIn2Te4Au was computed for Cu Kα.
Intensities are scaled so that the largest is 100.

Largest 10 diffraction maxima, sorted by position, 2θ from 10° to 80°:
d (Å)	2θ/deg	I/Imax
5.778	15.3	21
3.739	23.8	100
2.296	39.2	53
2.276	39.6	26
1.969	46.1	16
1.944	46.7	33
1.610	57.2	9
1.489	62.4	13
1.330	70.9	9
1.318	71.6	18

```
8
Lattice="0.0000 4.5526 6.5520 4.5522 0.0000 6.5520 4.5522 4.5526 0.0000" Properties=species:S:1:pos:R:3 pbc="T T T"
Li 0.0000 0.0000 0.0000
In 2.2761 2.2763 3.2871
In 6.8282 6.8289 9.8391
Te 4.5522 2.2659 5.0126
Te 6.8478 4.5526 8.1128
Te 4.5522 6.8393 5.0126
Te 2.2565 4.5526 8.1128
Au 4.5522 4.5526 6.5758
```

=====

Starting from the PBE geometry in Alexandria, the PXRD pattern of La12Nd6Sm was computed for Cu Kα.
Intensities are scaled so that the largest is 100.

Largest 10 diffraction maxima, sorted by position, 2θ from 10° to 80°:
d (Å)	2θ/deg	I/Imax
3.942	22.6	11
2.994	29.8	41
2.955	30.2	28
2.937	30.4	100
2.816	31.8	67
2.792	32.1	31
2.670	33.6	18
2.088	43.3	13
1.727	53.0	19
1.645	55.9	12

```
19
Lattice="6.2244 3.5937 5.1943 -6.2244 3.5937 5.1943 0.0000 -7.1873 5.1943" Properties=species:S:1:pos:R:3 pbc="T T T"
La -1.0782 -1.8410 2.9760
La -1.0553 1.8543 2.9760
La -1.5370 -1.6335 6.5008
La 2.1335 -0.0133 2.9760
La -2.1832 0.5143 9.0822
La -0.6462 2.1479 6.5007
La 0.6462 -2.1478 9.0822
La 2.1832 -0.5143 6.5007
La -2.1335 0.0133 12.6070
La 1.5370 1.6335 9.0822
La 1.0552 -1.8543 12.6070
La 1.0782 1.8410 12.6070
Nd -3.7616 0.9929 5.5127
Nd 1.0209 -3.7541 5.5127
Nd -2.7406 -2.7612 10.0702
Nd 2.7406 2.7612 5.5127
Nd -1.0209 3.7541 10.0702
Nd 3.7616 -0.9929 10.0702
Sm 0.0000 0.0000 0.0000
```

=====

Starting from the PBE geometry in Alexandria, the PXRD pattern of ZnSn3 was computed for Cu Kα.
Intensities are scaled so that the largest is 100.

Largest 10 diffraction maxima, sorted by position, 2θ from 10° to 80°:
d (Å)	2θ/deg	I/Imax
2.996	29.8	15
2.776	32.2	30
2.668	33.6	24
2.530	35.5	100
1.924	47.2	15
1.679	54.7	8
1.551	59.6	16
1.512	61.3	19
1.436	64.9	8
1.265	75.1	8

```
4
Lattice="-1.6787 5.3369 2.7761 1.6787 -5.3369 2.7761 1.6787 5.3369 -2.7761" Properties=species:S:1:pos:R:3 pbc="T T T"
Zn 0.0000 0.0000 0.0000
Sn 1.6787 2.3543 0.4669
Sn 0.0000 5.3369 0.1904
Sn 0.0000 2.9827 3.2431
```

=====

Starting from the PBE geometry in Alexandria, the PXRD pattern of PrErTmRu was computed for Cu Kα.
Intensities are scaled so that the largest is 100.

Largest 10 diffraction maxima, sorted by position, 2θ from 10° to 80°:
d (Å)	2θ/deg	I/Imax
3.202	27.9	25
2.996	29.8	21
2.725	32.9	100
2.423	37.1	59
2.255	40.0	23
1.884	48.3	22
1.879	48.4	16
1.713	53.5	20
1.450	64.2	29
1.274	74.5	13

```
4
Lattice="3.4264 0.0000 0.0000 0.0000 3.4264 0.0000 0.0000 0.0000 8.9882" Properties=species:S:1:pos:R:3 pbc="T T T"
Pr 0.0000 0.0000 0.0000
Er 1.7132 1.7132 6.0908
Tm 1.7132 1.7132 2.8765
Ru 0.0000 0.0000 4.4735
```

=====

Starting from the PBE geometry in Alexandria, the PXRD pattern of NdHS2 was computed for Cu Kα.
Intensities are scaled so that the largest is 100.

Largest 10 diffraction maxima, sorted by position, 2θ from 10° to 80°:
d (Å)	2θ/deg	I/Imax
8.803	10.0	100
4.680	19.0	73
3.456	25.8	70
3.321	26.8	29
2.763	32.4	27
2.718	33.0	36
2.439	36.8	26
2.158	41.9	36
2.018	44.9	21
1.938	46.9	25

```
8
Lattice="2.1382 -8.8029 0.0000 2.1382 8.8029 0.0000 0.0000 0.0000 5.5262" Properties=species:S:1:pos:R:3 pbc="T T T"
Nd 2.1382 5.6338 2.7631
Nd 2.1382 -5.6338 0.0000
H 2.1382 0.5610 0.8421
H 2.1382 -0.5610 3.6052
S 2.1382 5.0968 5.5148
S 2.1382 1.2746 5.1998
S 2.1382 -1.2746 2.4367
S 2.1382 -5.0968 2.7517
```

=====

Starting from the PBE geometry in Alexandria, the PXRD pattern of Y5Er2Th2 was computed for Cu Kα.
Intensities are scaled so that the largest is 100.

Largest 10 diffraction maxima, sorted by position, 2θ from 10° to 80°:
d (Å)	2θ/deg	I/Imax
5.946	14.9	20
3.323	26.8	19
3.129	28.5	100
2.973	30.1	54
2.901	30.8	58
2.702	33.2	21
2.510	35.8	70
1.918	47.4	21
1.879	48.4	23
1.486	62.5	21

```
18
Lattice="-7.4312 5.9456 3.3234 7.4312 -5.9456 3.3234 7.4312 5.9456 -3.3234" Properties=species:S:1:pos:R:3 pbc="T T T"
Y 0.7928 2.8994 0.0000
Y 6.6384 2.8994 0.0000
Y 3.7156 2.6993 1.2759
Y -2.1261 3.2770 1.2816
Y 9.5573 3.2770 1.2816
Y 0.7928 3.0462 3.3234
Y 6.6384 3.0462 3.3234
Y 2.1261 8.6142 1.2816
Y -2.1261 2.6686 4.6049
Y 3.7156 3.2463 4.5993
Er 1.8571 -0.0409 2.2448
Er 5.5741 -0.0409 2.2448
Er 5.5741 5.9865 -1.0786
Er 9.2882 0.0409 2.2448
Th 0.0000 5.9456 2.0298
Th 0.0000 0.0000 5.3532
Th 3.7156 5.9127 2.4286
Th -3.7156 5.9785 2.4286
```